Computed X-ray diffraction stick pattern
Compound: SrAgAs
Radiation: a wavelength of 1.5418 Å
Structure: the GGA-PBE geometry in the Materials Project

Crystal structure
Cell lengths 4.5772, 4.5772, 8.4716 Å; angles 90.00, 90.00, 120.00 degrees
Atoms (fractional coordinates):
Sr 0.0000 0.0000 0.0000
Sr 0.0000 0.0000 0.5000
Ag 0.3333 0.6667 0.2500
Ag 0.6667 0.3333 0.7500
As 0.3333 0.6667 0.7500
As 0.6667 0.3333 0.2500

The 10 most intense peaks (2θ = 15–90°), by intensity:
- 30.9 deg, I 100.0
- 39.4 deg, I 59.1
- 59.5 deg, I 34.0
- 50.9 deg, I 24.0
- 66.2 deg, I 21.9
- 42.7 deg, I 15.6
- 21.0 deg, I 13.7
- 86.9 deg, I 11.9
- 45.0 deg, I 10.6
- 71.4 deg, I 9.8

---

Computed X-ray diffraction stick pattern
Compound: TbAgAs2
Radiation: a wavelength of 1.5418 Å
Structure: the GGA-PBE geometry in the Materials Project

Crystal structure
Cell lengths 21.0182, 3.9783, 4.0129 Å; angles 90.00, 90.00, 90.00 degrees
Atoms (fractional coordinates):
Tb 0.1144 0.2500 0.2323
Tb 0.3856 0.7500 0.7323
Tb 0.6144 0.2500 0.2677
Tb 0.8856 0.7500 0.7677
Ag 0.2500 0.2500 0.7298
Ag 0.2500 0.7500 0.2298
Ag 0.7500 0.2500 0.7702
Ag 0.7500 0.7500 0.2702
As 0.0012 0.2500 0.7194
As 0.1562 0.7500 0.7314
As 0.3438 0.2500 0.2314
As 0.4988 0.7500 0.2194
As 0.5012 0.2500 0.7806
As 0.6562 0.7500 0.7686
As 0.8438 0.2500 0.2686
As 0.9988 0.7500 0.2806

The 10 most intense peaks (2θ = 15–90°), by intensity:
- 36.1 deg, I 100.0
- 34.1 deg, I 24.7
- 45.6 deg, I 15.0
- 45.2 deg, I 14.3
- 78.0 deg, I 10.3
- 57.8 deg, I 9.9
- 77.4 deg, I 9.0
- 66.1 deg, I 9.0
- 58.2 deg, I 8.4
- 62.4 deg, I 7.5

---

Computed X-ray diffraction stick pattern
Compound: TbAgAs2
Radiation: a wavelength of 1.5418 Å
Structure: the GGA-PBE geometry in the Materials Project

Crystal structure
Cell lengths 3.9939, 3.9939, 10.4822 Å; angles 90.00, 90.00, 90.00 degrees
Atoms (fractional coordinates):
Tb 0.2500 0.2500 0.2280
Tb 0.7500 0.7500 0.7720
Ag 0.2500 0.7500 0.5000
Ag 0.7500 0.2500 0.5000
As 0.2500 0.2500 0.6871
As 0.2500 0.7500 0.0000
As 0.7500 0.2500 0.0000
As 0.7500 0.7500 0.3129

The 10 most intense peaks (2θ = 15–90°), by intensity:
- 36.1 deg, I 100.0
- 45.4 deg, I 29.9
- 77.8 deg, I 20.8
- 58.1 deg, I 20.8
- 34.2 deg, I 19.3
- 23.8 deg, I 13.0
- 28.1 deg, I 12.0
- 41.2 deg, I 11.3
- 34.1 deg, I 9.8
- 66.2 deg, I 9.5

---

Computed X-ray diffraction stick pattern
Compound: TbZnAgAs2
Radiation: a wavelength of 1.5418 Å
Structure: the GGA-PBE geometry in the Materials Project

Crystal structure
Cell lengths 4.2651, 4.2651, 6.8914 Å; angles 90.00, 90.00, 120.00 degrees
Atoms (fractional coordinates):
Tb 0.0000 0.0000 0.0000
Zn 0.6667 0.3333 0.3924
Ag 0.3333 0.6667 0.6495
As 0.3333 0.6667 0.2562
As 0.6667 0.3333 0.7813

The 10 most intense peaks (2θ = 15–90°), by intensity:
- 27.4 deg, I 100.0
- 35.6 deg, I 97.6
- 42.4 deg, I 81.3
- 46.6 deg, I 33.5
- 56.5 deg, I 25.2
- 59.1 deg, I 24.8
- 73.1 deg, I 23.1
- 51.2 deg, I 17.7
- 68.6 deg, I 14.5
- 77.5 deg, I 13.3

---

Computed X-ray diffraction stick pattern
Compound: Ag3Au
Radiation: a wavelength of 1.5418 Å
Structure: the GGA-PBE geometry in the Materials Project

Crystal structure
Cell lengths 4.1616, 4.1616, 4.1616 Å; angles 90.00, 90.00, 90.00 degrees
Atoms (fractional coordinates):
Ag 0.0000 0.0000 0.5000
Ag 0.0000 0.5000 0.0000
Ag 0.5000 0.0000 0.0000
Au 0.5000 0.5000 0.5000

The 10 most intense peaks (2θ = 15–90°), by intensity:
- 37.4 deg, I 100.0
- 43.5 deg, I 48.8
- 75.8 deg, I 36.6
- 63.2 deg, I 31.1
- 79.8 deg, I 10.7
- 21.4 deg, I 7.3
- 30.4 deg, I 6.5
- 48.9 deg, I 3.9
- 54.0 deg, I 3.0
- 67.5 deg, I 2.0

---

Computed X-ray diffraction stick pattern
Compound: Ag3Au
Radiation: a wavelength of 1.5418 Å
Structure: the GGA-PBE geometry in the Materials Project

Crystal structure
Cell lengths 5.8898, 5.8898, 4.8276 Å; angles 90.00, 90.00, 120.00 degrees
Atoms (fractional coordinates):
Ag 0.1663 0.3327 0.2500
Ag 0.1663 0.8337 0.2500
Ag 0.3327 0.1663 0.7500
Ag 0.6673 0.8337 0.2500
Ag 0.8337 0.1663 0.7500
Ag 0.8337 0.6673 0.7500
Au 0.3333 0.6667 0.7500
Au 0.6667 0.3333 0.2500

The 10 most intense peaks (2θ = 15–90°), by intensity:
- 40.0 deg, I 100.0
- 37.3 deg, I 27.1
- 35.2 deg, I 23.8
- 75.7 deg, I 19.7
- 69.0 deg, I 19.2
- 63.1 deg, I 16.7
- 52.2 deg, I 15.1
- 77.4 deg, I 13.9
- 25.4 deg, I 8.0
- 86.3 deg, I 3.6

---

Computed X-ray diffraction stick pattern
Compound: Ag3Au
Radiation: a wavelength of 1.5418 Å
Structure: the GGA-PBE geometry in the Materials Project

Crystal structure
Cell lengths 4.1744, 4.1744, 8.2846 Å; angles 90.00, 90.00, 90.00 degrees
Atoms (fractional coordinates):
Ag 0.0000 0.0000 0.0000
Ag 0.0000 0.5000 0.2500
Ag 0.0000 0.5000 0.7500
Ag 0.5000 0.0000 0.2500
Ag 0.5000 0.0000 0.7500
Ag 0.5000 0.5000 0.5000
Au 0.0000 0.0000 0.5000
Au 0.5000 0.5000 0.0000

The 10 most intense peaks (2θ = 15–90°), by intensity:
- 37.4 deg, I 100.0
- 43.4 deg, I 32.8
- 75.6 deg, I 24.5
- 63.3 deg, I 20.6
- 43.7 deg, I 16.0
- 76.1 deg, I 12.1
- 79.8 deg, I 10.7
- 63.0 deg, I 10.5
- 23.9 deg, I 7.6
- 50.1 deg, I 2.4

---

Computed X-ray diffraction stick pattern
Compound: Cs2AgAuBr6
Radiation: a wavelength of 1.5418 Å
Structure: the GGA-PBE geometry in the Materials Project

Crystal structure
Cell lengths 7.7634, 7.7634, 7.7634 Å; angles 60.00, 60.00, 60.00 degrees
Atoms (fractional coordinates):
Cs 0.2500 0.2500 0.2500
Cs 0.7500 0.7500 0.7500
Ag 0.0000 0.0000 0.0000
Au 0.5000 0.5000 0.5000
Br 0.2529 0.2529 0.7471
Br 0.2529 0.7471 0.2529
Br 0.2529 0.7471 0.7471
Br 0.7471 0.2529 0.2529
Br 0.7471 0.2529 0.7471
Br 0.7471 0.7471 0.2529

The 10 most intense peaks (2θ = 15–90°), by intensity:
- 32.6 deg, I 100.0
- 46.8 deg, I 71.6
- 22.9 deg, I 70.6
- 28.2 deg, I 34.4
- 40.2 deg, I 32.8
- 77.8 deg, I 32.0
- 86.9 deg, I 24.9
- 58.2 deg, I 24.7
- 16.1 deg, I 22.3
- 63.4 deg, I 17.2

---

Computed X-ray diffraction stick pattern
Compound: K2AgAuBr6
Radiation: a wavelength of 1.5418 Å
Structure: the GGA-PBE geometry in the Materials Project

Crystal structure
Cell lengths 7.6608, 7.6608, 7.6608 Å; angles 60.00, 60.00, 60.00 degrees
Atoms (fractional coordinates):
K 0.2500 0.2500 0.2500
K 0.7500 0.7500 0.7500
Ag 0.0000 0.0000 0.0000
Au 0.5000 0.5000 0.5000
Br 0.2520 0.2520 0.7480
Br 0.2520 0.7480 0.2520
Br 0.2520 0.7480 0.7480
Br 0.7480 0.2520 0.2520
Br 0.7480 0.2520 0.7480
Br 0.7480 0.7480 0.2520

The 10 most intense peaks (2θ = 15–90°), by intensity:
- 16.4 deg, I 100.0
- 33.1 deg, I 93.6
- 47.5 deg, I 66.0
- 37.1 deg, I 54.3
- 23.2 deg, I 30.4
- 79.1 deg, I 29.0
- 50.5 deg, I 28.2
- 88.4 deg, I 22.7
- 59.1 deg, I 22.5
- 28.5 deg, I 16.9

---

Computed X-ray diffraction stick pattern
Compound: Na2AgAuBr6
Radiation: a wavelength of 1.5418 Å
Structure: the GGA-PBE geometry in the Materials Project

Crystal structure
Cell lengths 7.6053, 7.6053, 7.6053 Å; angles 60.00, 60.00, 60.00 degrees
Atoms (fractional coordinates):
Na 0.2500 0.2500 0.2500
Na 0.7500 0.7500 0.7500
Ag 0.0000 0.0000 0.0000
Au 0.5000 0.5000 0.5000
Br 0.2519 0.2519 0.7481
Br 0.2519 0.7481 0.2519
Br 0.2519 0.7481 0.7481
Br 0.7481 0.2519 0.2519
Br 0.7481 0.2519 0.7481
Br 0.7481 0.7481 0.2519

The 10 most intense peaks (2θ = 15–90°), by intensity:
- 16.5 deg, I 100.0
- 33.3 deg, I 72.3
- 37.4 deg, I 52.7
- 47.8 deg, I 51.3
- 50.9 deg, I 27.0
- 79.7 deg, I 22.6
- 23.4 deg, I 18.2
- 89.2 deg, I 17.7
- 59.5 deg, I 17.5
- 72.5 deg, I 15.3

---

Computed X-ray diffraction stick pattern
Compound: Rb2AgAuBr6
Radiation: a wavelength of 1.5418 Å
Structure: the GGA-PBE geometry in the Materials Project

Crystal structure
Cell lengths 7.6990, 7.6990, 7.6990 Å; angles 60.00, 60.00, 60.00 degrees
Atoms (fractional coordinates):
Rb 0.2500 0.2500 0.2500
Rb 0.7500 0.7500 0.7500
Ag 0.0000 0.0000 0.0000
Au 0.5000 0.5000 0.5000
Br 0.2524 0.2524 0.7476
Br 0.2524 0.7476 0.2524
Br 0.2524 0.7476 0.7476
Br 0.7476 0.2524 0.2524
Br 0.7476 0.2524 0.7476
Br 0.7476 0.7476 0.2524

The 10 most intense peaks (2θ = 15–90°), by intensity:
- 32.9 deg, I 100.0
- 47.2 deg, I 71.3
- 16.3 deg, I 52.2
- 23.1 deg, I 51.8
- 78.6 deg, I 31.8
- 36.9 deg, I 28.0
- 28.4 deg, I 26.6
- 87.9 deg, I 24.8
- 58.8 deg, I 24.5
- 40.6 deg, I 24.1

---

Computed X-ray diffraction stick pattern
Compound: Ca2AgAu
Radiation: a wavelength of 1.5418 Å
Structure: the GGA-PBE geometry in the Materials Project

Crystal structure
Cell lengths 7.3480, 7.3480, 7.3480 Å; angles 90.00, 90.00, 90.00 degrees
Atoms (fractional coordinates):
Ca 0.2500 0.2500 0.2500
Ca 0.2500 0.2500 0.7500
Ca 0.2500 0.7500 0.2500
Ca 0.2500 0.7500 0.7500
Ca 0.7500 0.2500 0.2500
Ca 0.7500 0.2500 0.7500
Ca 0.7500 0.7500 0.2500
Ca 0.7500 0.7500 0.7500
Ag 0.0000 0.0000 0.0000
Ag 0.0000 0.5000 0.5000
Ag 0.5000 0.0000 0.5000
Ag 0.5000 0.5000 0.0000
Au 0.0000 0.0000 0.5000
Au 0.0000 0.5000 0.0000
Au 0.5000 0.0000 0.0000
Au 0.5000 0.5000 0.5000

The 10 most intense peaks (2θ = 15–90°), by intensity:
- 34.5 deg, I 100.0
- 24.2 deg, I 39.1
- 61.9 deg, I 35.3
- 49.6 deg, I 17.5
- 56.0 deg, I 17.0
- 83.1 deg, I 15.4
- 42.6 deg, I 12.4
- 72.8 deg, I 10.8
- 20.9 deg, I 10.0
- 78.0 deg, I 8.4

---

Computed X-ray diffraction stick pattern
Compound: CeAgAu2
Radiation: a wavelength of 1.5418 Å
Structure: the GGA-PBE geometry in the Materials Project

Crystal structure
Cell lengths 7.0895, 7.0895, 7.0895 Å; angles 90.00, 90.00, 90.00 degrees
Atoms (fractional coordinates):
Ce 0.0000 0.0000 0.0000
Ce 0.0000 0.5000 0.5000
Ce 0.5000 0.0000 0.5000
Ce 0.5000 0.5000 0.0000
Ag 0.0000 0.0000 0.5000
Ag 0.0000 0.5000 0.0000
Ag 0.5000 0.0000 0.0000
Ag 0.5000 0.5000 0.5000
Au 0.2500 0.2500 0.2500
Au 0.2500 0.2500 0.7500
Au 0.2500 0.7500 0.2500
Au 0.2500 0.7500 0.7500
Au 0.7500 0.2500 0.2500
Au 0.7500 0.2500 0.7500
Au 0.7500 0.7500 0.2500
Au 0.7500 0.7500 0.7500

The 9 most intense peaks (2θ = 15–90°), by intensity:
- 35.8 deg, I 100.0
- 64.4 deg, I 36.2
- 51.6 deg, I 17.7
- 86.9 deg, I 16.6
- 75.9 deg, I 11.3
- 25.1 deg, I 5.8
- 58.2 deg, I 2.8
- 44.3 deg, I 1.9
- 81.5 deg, I 1.5

---

Computed X-ray diffraction stick pattern
Compound: Ag2Au3N6Cl17
Radiation: a wavelength of 1.5418 Å
Structure: the GGA-PBE geometry in the Materials Project

Crystal structure
Cell lengths 12.6919, 12.6919, 12.6919 Å; angles 150.34, 109.65, 78.15 degrees
Atoms (fractional coordinates):
Ag 0.1320 0.1320 0.0000
Ag 0.8680 0.8680 0.0000
Au 0.0000 0.5000 0.5000
Au 0.3331 0.8331 0.5000
Au 0.6669 0.1669 0.5000
N 0.0776 0.3162 0.7614
N 0.2945 0.0000 0.2945
N 0.4453 0.6838 0.7614
N 0.5547 0.3162 0.2386
N 0.7055 0.0000 0.7055
N 0.9224 0.6838 0.2386
Cl 0.0000 0.0000 0.0000
Cl 0.1176 0.6176 0.5000
Cl 0.1592 0.5000 0.6592
Cl 0.1604 0.9287 0.2316
Cl 0.2535 0.0192 0.7657
Cl 0.2535 0.4879 0.2343
Cl 0.3029 0.0713 0.2316
Cl 0.4180 0.1621 0.7441
Cl 0.4180 0.6739 0.2559
Cl 0.5820 0.3261 0.7441
Cl 0.5820 0.8379 0.2559
Cl 0.6971 0.9287 0.7684
Cl 0.7465 0.5121 0.7657
Cl 0.7465 0.9808 0.2343
Cl 0.8396 0.0713 0.7684
Cl 0.8408 0.5000 0.3408
Cl 0.8824 0.3824 0.5000

The 10 most intense peaks (2θ = 15–90°), by intensity:
- 22.8 deg, I 100.0
- 24.3 deg, I 58.3
- 19.2 deg, I 41.9
- 31.2 deg, I 38.7
- 41.0 deg, I 28.9
- 41.9 deg, I 24.7
- 27.5 deg, I 20.0
- 46.5 deg, I 18.7
- 36.9 deg, I 18.1
- 53.9 deg, I 16.9